# PmDy2ZrSc4
Calculated PXRD pattern, a wavelength of 1.5418 Å. Input: the GGA-PBE geometry in Alexandria.

Most intense lines, 2θ = 15–90°, most intense first:
hkl 1 1 2, d 2.743, rel. 100; hkl 2 0 0, d 2.400, rel. 34; hkl 0 0 2, d 4.657, rel. 25; hkl 1 1 0, d 3.394, rel. 23; hkl 2 0 4, d 1.671, rel. 22; hkl 0 0 4, d 2.329, rel. 15; hkl 2 0 2, d 2.133, rel. 13; hkl 3 1 2, d 1.444, rel. 13; hkl 1 3 2, d 1.442, rel. 13; hkl 1 1 6, d 1.412, rel. 12

Atomic structure:
a b c (Å): 4.8054 4.7946 9.3150
angles (deg): 90.00 90.04 90.00
Space group P2/m (No. 10)
Inequivalent atoms, fractional coordinates:
Pm 0.0000 0.0000 0.0000 x1
Dy 0.0000 0.0000 0.5000 x1
Dy 0.5000 0.5000 0.0000 x1
Zr 0.5000 0.5000 0.5000 x1
Sc 0.0000 0.5000 0.2624 x2
Sc 0.4999 0.0000 0.2624 x2